(1)
For YHoSn2Ir, a cell relaxed with PBE gives the computed XRD peak list in this record (Cu Kα (weighted mean of Kα1 and Kα2)).

Top 6 peaks for 2θ = 10–90°, in order of falling intensity:
- 2.239 Å, 40.3 deg, rel. 100
- 2.353 Å, 38.3 deg, rel. 89
- 2.817 Å, 31.8 deg, rel. 84
- 2.890 Å, 30.9 deg, rel. 75
- 2.728 Å, 32.8 deg, rel. 40
- 2.545 Å, 35.3 deg, rel. 32

Cell and atoms:
abc: 5.9078 5.9078 10.9506
angles: 113.97 113.97 44.54
Element x y z (fractional)
Y 0.0033 0.0033 0.1733
Y 0.9967 0.9967 0.8267
Ho 0.1856 0.1856 0.6293
Ho 0.8144 0.8144 0.3707
Sn 0.3448 0.3448 0.9524
Sn 0.4664 0.4664 0.6144
Sn 0.5336 0.5336 0.3856
Sn 0.6552 0.6552 0.0476
Ir 0.2781 0.2781 0.1764
Ir 0.7219 0.7219 0.8236

(2)
For Gd2AlInPd4, a cell relaxed with PBE gives the computed XRD peak list in this record (Cu Kα (weighted mean of Kα1 and Kα2)).

Top 6 peaks for 2θ = 10–90°, in order of falling intensity:
- 2.390 Å, 37.6 deg, rel. 100
- 2.259 Å, 39.9 deg, rel. 81
- 1.642 Å, 56.0 deg, rel. 33
- 1.328 Å, 71.0 deg, rel. 31
- 3.913 Å, 22.7 deg, rel. 23
- 2.961 Å, 30.2 deg, rel. 16

Cell and atoms:
abc: 4.5185 4.5185 9.0574
angles: 90.00 90.00 120.00
Element x y z (fractional)
Gd 0.3333 0.6667 0.2535
Gd 0.6667 0.3333 0.7465
Al 0.0000 0.0000 0.5000
In 0.0000 0.0000 0.0000
Pd 0.3333 0.6667 0.5774
Pd 0.3333 0.6667 0.9113
Pd 0.6667 0.3333 0.0887
Pd 0.6667 0.3333 0.4226

(3)
For Tb2YN3, a cell relaxed with PBE gives the computed XRD peak list in this record (Cu Kα (weighted mean of Kα1 and Kα2)).

Top 6 peaks for 2θ = 10–90°, in order of falling intensity:
- 2.838 Å, 31.5 deg, rel. 100
- 2.457 Å, 36.6 deg, rel. 76
- 1.738 Å, 52.7 deg, rel. 51
- 1.482 Å, 62.7 deg, rel. 44
- 1.099 Å, 89.1 deg, rel. 23
- 1.128 Å, 86.3 deg, rel. 19

Cell and atoms:
abc: 3.4748 3.4748 8.5159
angles: 90.00 90.00 120.00
Element x y z (fractional)
Tb 0.3333 0.6667 0.3330
Tb 0.6667 0.3333 0.6670
Y 0.0000 0.0000 0.0000
N 0.0000 0.0000 0.5000
N 0.3333 0.6667 0.8335
N 0.6667 0.3333 0.1665

(4)
For Sm3GaS6, a cell relaxed with PBE gives the computed XRD peak list in this record (Cu Kα (weighted mean of Kα1 and Kα2)).

Top 6 peaks for 2θ = 10–90°, in order of falling intensity:
- 3.567 Å, 25.0 deg, rel. 100
- 3.524 Å, 25.3 deg, rel. 55
- 2.399 Å, 37.5 deg, rel. 40
- 2.172 Å, 41.6 deg, rel. 36
- 2.360 Å, 38.1 deg, rel. 34
- 2.600 Å, 34.5 deg, rel. 25

Cell and atoms:
abc: 8.6932 8.6932 6.5785
angles: 90.00 90.00 102.42
Element x y z (fractional)
Sm 0.0998 0.9002 0.5000
Sm 0.2154 0.4150 0.5865
Sm 0.4150 0.2154 0.0865
Sm 0.5850 0.7846 0.5865
Sm 0.7846 0.5850 0.0865
Sm 0.9002 0.0998 0.0000
Ga 0.3010 0.6990 0.1247
Ga 0.6990 0.3010 0.6247
S 0.0715 0.6002 0.2980
S 0.1347 0.1887 0.2931
S 0.1887 0.1347 0.7931
S 0.2828 0.7172 0.7792
S 0.3998 0.9285 0.2980
S 0.4595 0.5405 0.2656
S 0.5405 0.4595 0.7656
S 0.6002 0.0715 0.7980
S 0.7172 0.2828 0.2792
S 0.8113 0.8653 0.2931
S 0.8653 0.8113 0.7931
S 0.9285 0.3998 0.7980

(5)
For PrTe4I2, a cell relaxed with PBE gives the computed XRD peak list in this record (Cu Kα (weighted mean of Kα1 and Kα2)).

Top 6 peaks for 2θ = 10–90°, in order of falling intensity:
- 3.253 Å, 27.4 deg, rel. 100
- 2.282 Å, 39.5 deg, rel. 75
- 3.203 Å, 27.9 deg, rel. 48
- 1.870 Å, 48.7 deg, rel. 20
- 1.866 Å, 48.8 deg, rel. 20
- 2.304 Å, 39.1 deg, rel. 19

Cell and atoms:
abc: 9.2140 12.8134 4.5928
angles: 90.00 90.00 90.00
Element x y z (fractional)
Pr 0.0000 0.0000 0.0000
Pr 0.5000 0.5000 0.0000
Te 0.0000 0.2550 0.0000
Te 0.0000 0.7450 0.0000
Te 0.2465 0.0000 0.5000
Te 0.2535 0.5000 0.5000
Te 0.5000 0.2450 0.0000
Te 0.5000 0.7550 0.0000
Te 0.7465 0.5000 0.5000
Te 0.7535 0.0000 0.5000
I 0.2500 0.2500 0.5000
I 0.2500 0.7500 0.5000
I 0.7500 0.2500 0.5000
I 0.7500 0.7500 0.5000

(6)
For LiTe2PtAuS, a cell relaxed with PBE gives the computed XRD peak list in this record (Cu Kα (weighted mean of Kα1 and Kα2)).

Top 6 peaks for 2θ = 10–90°, in order of falling intensity:
- 2.956 Å, 30.2 deg, rel. 100
- 1.951 Å, 46.5 deg, rel. 60
- 2.597 Å, 34.5 deg, rel. 53
- 4.030 Å, 22.1 deg, rel. 46
- 2.002 Å, 45.3 deg, rel. 46
- 3.660 Å, 24.3 deg, rel. 40

Cell and atoms:
abc: 6.7074 6.7074 10.3921
angles: 90.00 90.00 144.34
Element x y z (fractional)
Li 0.1531 0.8469 0.7500
Li 0.8469 0.1531 0.2500
Te 0.1348 0.8652 0.0107
Te 0.1348 0.8652 0.4893
Te 0.8652 0.1348 0.5107
Te 0.8652 0.1348 0.9893
Pt 0.5000 0.5000 0.0000
Pt 0.5000 0.5000 0.5000
Au 0.1893 0.8107 0.2500
Au 0.8107 0.1893 0.7500
S 0.4455 0.5545 0.2500
S 0.5545 0.4455 0.7500

(7)
For KRe8, a cell relaxed with PBE gives the computed XRD peak list in this record (Cu Kα (weighted mean of Kα1 and Kα2)).

Top 6 peaks for 2θ = 10–90°, in order of falling intensity:
- 4.059 Å, 21.9 deg, rel. 100
- 2.295 Å, 39.3 deg, rel. 98
- 1.669 Å, 55.0 deg, rel. 66
- 2.431 Å, 37.0 deg, rel. 55
- 2.369 Å, 38.0 deg, rel. 48
- 2.086 Å, 43.4 deg, rel. 42

Cell and atoms:
abc: 9.2506 9.1852 6.7886
angles: 68.91 67.88 43.21
Element x y z (fractional)
K 0.1250 0.1250 0.1250
K 0.8750 0.8750 0.8750
Re 0.0726 0.3486 0.4240
Re 0.1014 0.8039 0.4043
Re 0.1904 0.4043 0.8039
Re 0.1961 0.8986 0.8096
Re 0.3452 0.5760 0.6514
Re 0.3486 0.0726 0.6548
Re 0.4043 0.1904 0.1014
Re 0.4240 0.6548 0.0726
Re 0.5760 0.3452 0.9274
Re 0.5957 0.8096 0.8986
Re 0.6514 0.9274 0.3452
Re 0.6548 0.4240 0.3486
Re 0.8039 0.1014 0.1904
Re 0.8096 0.5957 0.1961
Re 0.8986 0.1961 0.5957
Re 0.9274 0.6514 0.5760

(8)
For La2Ho2CBr3Cl2, a cell relaxed with PBE gives the computed XRD peak list in this record (Cu Kα (weighted mean of Kα1 and Kα2)).

Top 6 peaks for 2θ = 10–90°, in order of falling intensity:
- 2.800 Å, 32.0 deg, rel. 100
- 2.851 Å, 31.4 deg, rel. 57
- 8.553 Å, 10.3 deg, rel. 50
- 2.817 Å, 31.8 deg, rel. 39
- 3.116 Å, 28.6 deg, rel. 35
- 1.977 Å, 45.9 deg, rel. 35

Cell and atoms:
abc: 9.0626 9.0626 8.1768
angles: 104.71 104.71 24.48
Element x y z (fractional)
La 0.1506 0.1506 0.0884
La 0.8494 0.8494 0.9116
Ho 0.4983 0.4983 0.1989
Ho 0.5017 0.5017 0.8011
C 0.0000 0.0000 0.0000
Br 0.0000 0.0000 0.5000
Br 0.3393 0.3393 0.6266
Br 0.6607 0.6607 0.3734
Cl 0.3378 0.3378 0.1749
Cl 0.6622 0.6622 0.8251